# Ba3In2WO9
Simulated powder diffractogram, Cu Kα X-rays. Input: DFT lattice parameters and positions (GGA+U).
No peak broadening, texture or thermal motion is included.

```
data_Ba3In2WO9
_cell_length_a 5.9732
_cell_length_b 8.4564
_cell_length_c 17.9460
_cell_angle_alpha 90.00
_cell_angle_beta 90.00
_cell_angle_gamma 90.00
_symmetry_space_group_name_H-M 'I m m m'
_symmetry_Int_Tables_number 71
_symmetry_space_group_name_Hall '-I 2 2'
loop_
_atom_site_label
_atom_site_fract_x
_atom_site_fract_y
_atom_site_fract_z
Ba1 0.0000 0.2334 0.0000
Ba2 0.0000 0.2588 0.3390
In1 0.0000 0.0000 0.1697
In2 0.0000 0.0000 0.5000
In3 0.0000 0.5000 0.5000
W1 0.0000 0.5000 0.1674
O1 0.0000 0.2420 0.5000
O2 0.0000 0.2685 0.1711
O3 0.2302 0.5000 0.0908
O4 0.2365 0.5000 0.2445
O5 0.2496 0.0000 0.0868
```

The 6 most intense peaks (2θ = 10–80°), sorted by position:
(hkl)	Position (°2θ)	d (Å)	I/Imax
2 0 0	29.9	2.989	100
2 0 6	42.8	2.114	29
3 2 3	53.1	1.726	39
2 4 6	62.1	1.495	14
4 0 6	70.4	1.337	17
4 4 0	78.4	1.220	6